Record 1
This entry pairs a crystal structure of LiCaCl with its computed X-ray powder pattern. Radiation: Cu Kα, 1.54184 Å. Structure: a crystal structure in Alexandria, relaxed with GGA-PBE.
Kinematic intensities with the Lorentz-polarization factor, no thermal factor.

Top 10 peaks for 10° ≤ 2θ ≤ 80°, low angle first:
two_theta, d_spacing, intensity
13.7, 6.463, 24
18.2, 4.869, 29
21.7, 4.101, 28
23.7, 3.761, 24
27.9, 3.201, 17
30.2, 2.959, 43
32.3, 2.772, 100
37.7, 2.383, 51
41.9, 2.154, 20
44.2, 2.050, 16

Crystal structure
Cell: 6.1890 3.7606 6.5591 Å, 90.00 99.81 90.00°
Space group P2/m (No. 10)
Inequivalent atoms, fractional coordinates:
1 Li 0.2026 0.0000 0.2383 (multiplicity 2)
2 Ca 0.2777 0.5000 0.6782 (multiplicity 2)
3 Cl 0.0000 0.5000 0.0000 (multiplicity 1)
4 Cl 0.5000 0.0000 0.0000 (multiplicity 1)

=====

Record 2
This entry pairs a crystal structure of K3Ir with its computed X-ray powder pattern. Radiation: Cu Kα, 1.54184 Å. Structure: a crystal structure in Alexandria, relaxed with GGA-PBE.
Kinematic intensities with the Lorentz-polarization factor, no thermal factor.

Top 10 peaks for 10° ≤ 2θ ≤ 80°, low angle first:
two_theta, d_spacing, intensity
19.8, 4.478, 81
28.2, 3.166, 43
31.6, 2.832, 17
34.7, 2.585, 100
40.3, 2.239, 14
45.3, 2.003, 21
54.2, 1.692, 55
66.0, 1.416, 15
69.6, 1.350, 13
76.7, 1.242, 14

Crystal structure
Cell: 6.3325 6.3325 6.3325 Å, 90.00 90.00 90.00°
Space group Pm-3n (No. 223)
Inequivalent atoms, fractional coordinates:
1 K 0.0000 0.2500 0.5000 (multiplicity 6)
2 Ir 0.0000 0.0000 0.0000 (multiplicity 2)

=====

Record 3
This entry pairs a crystal structure of Sr3TlSb3 with its computed X-ray powder pattern. Radiation: Cu Kα, 1.54184 Å. Structure: a crystal structure in Alexandria, relaxed with GGA-PBE.
Kinematic intensities with the Lorentz-polarization factor, no thermal factor.

Top 10 peaks for 10° ≤ 2θ ≤ 80°, low angle first:
two_theta, d_spacing, intensity
12.9, 6.881, 28
14.5, 6.102, 68
23.4, 3.804, 37
24.7, 3.597, 29
25.4, 3.507, 76
25.9, 3.440, 35
35.8, 2.510, 92
36.1, 2.486, 92
36.6, 2.455, 100
65.8, 1.419, 28

Crystal structure
Cell: 21.0211 7.1949 13.7617 Å, 90.00 90.00 90.00°
Space group Cmce (No. 64)
Inequivalent atoms, fractional coordinates:
1 Sr 0.0000 0.1913 0.1399 (multiplicity 8)
2 Sr 0.1771 0.1984 0.8731 (multiplicity 16)
3 Tl 0.0900 0.0000 0.5000 (multiplicity 8)
4 Sb 0.0000 0.2249 0.3823 (multiplicity 8)
5 Sb 0.1640 0.2357 0.6303 (multiplicity 16)

=====

Record 4
This entry pairs a crystal structure of Y2FeAu with its computed X-ray powder pattern. Radiation: Cu Kα, 1.54184 Å. Structure: a crystal structure in Alexandria, relaxed with GGA-PBE.
Kinematic intensities with the Lorentz-polarization factor, no thermal factor.

Top 10 peaks for 10° ≤ 2θ ≤ 80°, low angle first:
two_theta, d_spacing, intensity
12.4, 7.115, 41
28.4, 3.142, 24
28.6, 3.119, 24
36.0, 2.496, 100
36.2, 2.484, 99
36.4, 2.465, 98
52.2, 1.751, 17
64.6, 1.442, 33
65.2, 1.431, 34
65.5, 1.425, 34

Crystal structure
Cell: 3.4703 3.5020 7.1146 Å, 90.00 90.00 90.00°
Space group Pmmm (No. 47)
Inequivalent atoms, fractional coordinates:
1 Y 0.0000 0.0000 0.2328 (multiplicity 2)
2 Fe 0.5000 0.5000 0.0000 (multiplicity 1)
3 Au 0.5000 0.5000 0.5000 (multiplicity 1)

=====

Record 5
This entry pairs a crystal structure of NaAg2Au6 with its computed X-ray powder pattern. Radiation: Cu Kα, 1.54184 Å. Structure: a crystal structure in Alexandria, relaxed with GGA-PBE.
Kinematic intensities with the Lorentz-polarization factor, no thermal factor.

Top 10 peaks for 10° ≤ 2θ ≤ 80°, low angle first:
two_theta, d_spacing, intensity
12.4, 7.123, 74
22.2, 4.012, 80
34.0, 2.636, 97
34.8, 2.578, 89
37.9, 2.372, 94
39.4, 2.285, 100
40.7, 2.217, 92
41.6, 2.169, 59
50.1, 1.819, 73
69.8, 1.348, 59

Crystal structure
Cell: 5.6638 8.0244 15.4676 Å, 90.00 90.00 90.00°
Space group Imma (No. 74)
Inequivalent atoms, fractional coordinates:
1 Na 0.0000 0.2500 0.2224 (multiplicity 4)
2 Ag 0.2489 0.2500 0.4595 (multiplicity 8)
3 Au 0.0000 0.0511 0.5920 (multiplicity 8)
4 Au 0.0000 0.0540 0.9090 (multiplicity 8)
5 Au 0.2500 0.0699 0.7500 (multiplicity 8)

=====

Record 6
This entry pairs a crystal structure of LaPrTh2Se4 with its computed X-ray powder pattern. Radiation: Cu Kα, 1.54184 Å. Structure: a crystal structure in Alexandria, relaxed with GGA-PBE.
Kinematic intensities with the Lorentz-polarization factor, no thermal factor.

Top 10 peaks for 10° ≤ 2θ ≤ 80°, low angle first:
two_theta, d_spacing, intensity
25.6, 3.477, 21
29.8, 3.001, 100
42.4, 2.133, 38
42.8, 2.115, 12
42.9, 2.109, 25
52.7, 1.737, 14
61.8, 1.501, 8
69.8, 1.348, 18
70.5, 1.336, 11
77.9, 1.226, 9

Crystal structure
Cell: 7.2822 4.2639 7.3911 Å, 90.00 109.59 90.00°
Space group P2/m (No. 10)
Inequivalent atoms, fractional coordinates:
1 La 0.0000 0.0000 0.0000 (multiplicity 1)
2 Pr 0.5000 0.5000 0.0000 (multiplicity 1)
3 Th 0.0000 0.5000 0.5000 (multiplicity 1)
4 Th 0.5000 0.0000 0.5000 (multiplicity 1)
5 Se 0.2501 0.0000 0.7469 (multiplicity 2)
6 Se 0.2525 0.5000 0.2537 (multiplicity 2)

=====

Record 7
This entry pairs a crystal structure of Er2Ni2Ag3 with its computed X-ray powder pattern. Radiation: Cu Kα, 1.54184 Å. Structure: a crystal structure in Alexandria, relaxed with GGA-PBE.
Kinematic intensities with the Lorentz-polarization factor, no thermal factor.

Top 10 peaks for 10° ≤ 2θ ≤ 80°, low angle first:
two_theta, d_spacing, intensity
32.8, 2.731, 19
34.7, 2.586, 100
37.2, 2.420, 26
37.7, 2.388, 69
40.1, 2.247, 54
47.2, 1.925, 25
51.5, 1.774, 19
61.9, 1.499, 31
67.2, 1.393, 22
72.4, 1.305, 13

Crystal structure
Cell: 3.8498 19.3704 3.5488 Å, 90.00 90.00 90.00°
Space group Cmmm (No. 65)
Inequivalent atoms, fractional coordinates:
1 Er 0.0000 0.1652 0.0000 (multiplicity 4)
2 Ni 0.0000 0.2863 0.5000 (multiplicity 4)
3 Ag 0.0000 0.0000 0.0000 (multiplicity 2)
4 Ag 0.0000 0.4273 0.5000 (multiplicity 4)

=====

Record 8
This entry pairs a crystal structure of BiIr2Pt with its computed X-ray powder pattern. Radiation: Cu Kα, 1.54184 Å. Structure: a crystal structure in Alexandria, relaxed with GGA-PBE.
Kinematic intensities with the Lorentz-polarization factor, no thermal factor.

Top 10 peaks for 10° ≤ 2θ ≤ 80°, low angle first:
two_theta, d_spacing, intensity
32.7, 2.740, 100
37.7, 2.384, 37
42.5, 2.126, 49
48.9, 1.862, 61
58.1, 1.587, 20
65.2, 1.430, 11
74.9, 1.268, 15
76.2, 1.250, 17
77.6, 1.230, 9
77.9, 1.226, 13

Crystal structure
Cell: 4.0451 4.0451 19.0736 Å, 90.00 90.00 90.00°
Space group I-42d (No. 122)
Inequivalent atoms, fractional coordinates:
1 Bi 0.0000 0.0000 0.0000 (multiplicity 4)
2 Ir 0.1853 0.2500 0.6250 (multiplicity 8)
3 Pt 0.0000 0.0000 0.5000 (multiplicity 4)

=====

Record 9
This entry pairs a crystal structure of Li2AcTcN4 with its computed X-ray powder pattern. Radiation: Cu Kα, 1.54184 Å. Structure: a crystal structure in Alexandria, relaxed with GGA-PBE.
Kinematic intensities with the Lorentz-polarization factor, no thermal factor.

Top 10 peaks for 10° ≤ 2θ ≤ 80°, low angle first:
two_theta, d_spacing, intensity
20.2, 4.397, 35
22.7, 3.925, 62
23.7, 3.754, 100
33.0, 2.713, 83
33.7, 2.661, 26
33.9, 2.648, 25
41.0, 2.202, 27
41.1, 2.195, 24
52.6, 1.739, 22
54.2, 1.693, 20

Crystal structure
Cell: 7.8499 5.2952 5.3217 Å, 90.00 90.00 90.00°
Space group Pmn2_1 (No. 31)
Inequivalent atoms, fractional coordinates:
1 Li 0.2451 0.2058 0.0000 (multiplicity 4)
2 Ac 0.0000 0.2356 0.5044 (multiplicity 2)
3 Tc 0.0000 0.7045 0.9902 (multiplicity 2)
4 N 0.0000 0.3604 0.0290 (multiplicity 2)
5 N 0.0000 0.7449 0.6485 (multiplicity 2)
6 N 0.1895 0.8434 0.1311 (multiplicity 4)

=====

Record 10
This entry pairs a crystal structure of Ba3Zn2Pd3 with its computed X-ray powder pattern. Radiation: Cu Kα, 1.54184 Å. Structure: a crystal structure in Alexandria, relaxed with GGA-PBE.
Kinematic intensities with the Lorentz-polarization factor, no thermal factor.

Top 10 peaks for 10° ≤ 2θ ≤ 80°, low angle first:
two_theta, d_spacing, intensity
28.4, 3.144, 52
29.5, 3.032, 48
30.0, 2.978, 60
30.7, 2.908, 67
33.8, 2.653, 65
33.9, 2.641, 49
34.1, 2.630, 93
34.3, 2.613, 100
37.3, 2.408, 45
66.0, 1.415, 33

Crystal structure
Cell: 8.5666 15.8437 6.4839 Å, 90.00 90.00 90.00°
Space group Pnma (No. 62)
Inequivalent atoms, fractional coordinates:
1 Ba 0.0352 0.1042 0.1435 (multiplicity 8)
2 Ba 0.1752 0.2500 0.6103 (multiplicity 4)
3 Zn 0.1253 0.5942 0.3719 (multiplicity 8)
4 Pd 0.1640 0.0407 0.6106 (multiplicity 8)
5 Pd 0.1730 0.7500 0.5617 (multiplicity 4)

=====

Record 11
This entry pairs a crystal structure of Zr3Co with its computed X-ray powder pattern. Radiation: Cu Kα, 1.54184 Å. Structure: a crystal structure in Alexandria, relaxed with GGA-PBE.
Kinematic intensities with the Lorentz-polarization factor, no thermal factor.

Top 10 peaks for 10° ≤ 2θ ≤ 80°, low angle first:
two_theta, d_spacing, intensity
33.9, 2.647, 78
34.6, 2.595, 100
36.0, 2.494, 22
36.2, 2.481, 56
38.2, 2.354, 35
38.7, 2.328, 99
40.0, 2.254, 48
55.5, 1.655, 22
58.2, 1.585, 23
61.0, 1.518, 23

Crystal structure
Cell: 10.5278 10.5278 5.6637 Å, 90.00 90.00 90.00°
Space group I-42m (No. 121)
Inequivalent atoms, fractional coordinates:
1 Zr 0.0000 0.3580 0.0000 (multiplicity 8)
2 Zr 0.0974 0.0974 0.2457 (multiplicity 8)
3 Zr 0.2021 0.2021 0.7400 (multiplicity 8)
4 Co 0.0000 0.2947 0.5000 (multiplicity 8)

=====

Record 12
This entry pairs a crystal structure of K3MgIn8 with its computed X-ray powder pattern. Radiation: Cu Kα, 1.54184 Å. Structure: a crystal structure in Alexandria, relaxed with GGA-PBE.
Kinematic intensities with the Lorentz-polarization factor, no thermal factor.

Top 10 peaks for 10° ≤ 2θ ≤ 80°, low angle first:
two_theta, d_spacing, intensity
17.0, 5.220, 84
17.2, 5.160, 27
32.8, 2.729, 43
32.9, 2.720, 85
33.1, 2.703, 40
34.4, 2.610, 100
34.8, 2.580, 32
40.0, 2.254, 47
57.6, 1.601, 29
58.1, 1.587, 26

Crystal structure
Cell: 6.4029 6.4029 30.9602 Å, 90.00 90.00 120.00°
Space group R3m (No. 160, hexagonal axes)
Inequivalent atoms, fractional coordinates:
1 K 0.0000 0.0000 0.0000 (multiplicity 3)
2 K 0.0000 0.0000 0.1247 (multiplicity 3)
3 K 0.0000 0.0000 0.6222 (multiplicity 3)
4 Mg 0.0000 0.0000 0.4924 (multiplicity 3)
5 In 0.0000 0.0000 0.3140 (multiplicity 3)
6 In 0.0000 0.0000 0.8113 (multiplicity 3)
7 In 0.0011 0.5006 0.0644 (multiplicity 9)
8 In 0.1671 0.3342 0.8932 (multiplicity 9)